For CeZn8As6, a crystal structure in Alexandria, relaxed with GGA-PBE gives the theoretical powder diffraction line list in this record (Cu Ka).
Lines closer than 0.1° are merged.

Main lines, sorted by position (5° ≤ 2θ ≤ 70°):
d_spacing	I (rel.)	h k l
3.781	14	1 1 0
3.641	75	1 1 1
3.377	33	0 0 4
2.947	15	2 0 2
2.519	28	1 1 4
2.198	42	1 1 5
2.183	100	3 0 0
1.935	22	1 1 6
1.833	28	3 0 4
1.549	11	2 2 5

Cell and atoms:
Cell lengths 7.563, 7.563, 13.509 Å; angles 90.00, 90.00, 120.00 degrees
Positions (direct):
Ce (0.000, 0.000, 0.000)
Ce (0.000, 0.000, 0.500)
Zn (0.000, 0.317, 0.304)
Zn (0.000, 0.358, 0.670)
Zn (0.000, 0.642, 0.170)
Zn (0.000, 0.683, 0.804)
Zn (0.317, 0.000, 0.304)
Zn (0.317, 0.317, 0.804)
Zn (0.333, 0.667, 0.437)
Zn (0.333, 0.667, 0.937)
Zn (0.358, 0.000, 0.670)
Zn (0.358, 0.358, 0.170)
Zn (0.642, 0.000, 0.170)
Zn (0.642, 0.642, 0.670)
Zn (0.667, 0.333, 0.437)
Zn (0.667, 0.333, 0.937)
Zn (0.683, 0.000, 0.804)
Zn (0.683, 0.683, 0.304)
As (0.000, 0.000, 0.231)
As (0.000, 0.000, 0.731)
As (0.000, 0.380, 0.486)
As (0.000, 0.620, 0.986)
As (0.333, 0.667, 0.241)
As (0.333, 0.667, 0.741)
As (0.380, 0.000, 0.486)
As (0.380, 0.380, 0.986)
As (0.620, 0.000, 0.986)
As (0.620, 0.620, 0.486)
As (0.667, 0.333, 0.241)
As (0.667, 0.333, 0.741)